# 1
For HfSbTe2O, a GGA-PBE-relaxed structure gives the theoretical X-ray diffraction stick pattern in this record (a wavelength of 1.5418 Å).

Atomic structure:
```
data_HfSbTe2O
_symmetry_space_group_name_H-M 'P 4/m m m'
_symmetry_Int_Tables_number 123
_symmetry_space_group_name_Hall '-P 4 2'
_cell_length_a 4.846
_cell_length_b 4.846
_cell_length_c 4.652
_cell_angle_alpha 90.00
_cell_angle_beta 90.00
_cell_angle_gamma 90.00
loop_
_atom_site_label
_atom_site_fract_x
_atom_site_fract_y
_atom_site_fract_z
Hf1 0.000 0.000 0.000
Sb1 0.500 0.500 0.000
Te1 0.000 0.500 0.500
O1 0.500 0.500 0.500
```

Main lines, in order of falling intensity (2θ = 10–90°):
2theta  d [Å]  I_rel  (hkl)
32.5  2.759  100  1 1 1
37.1  2.423  39  2 0 0
64.0  1.456  28  3 1 1
54.7  1.678  25  2 0 2
38.7  2.326  17  0 0 2
53.5  1.713  14  2 2 0

# 2
For IrPtRh2, a GGA-PBE-relaxed structure gives the theoretical X-ray diffraction stick pattern in this record (a wavelength of 1.5418 Å).

Atomic structure:
```
data_IrPtRh2
_symmetry_space_group_name_H-M 'P 4/m m m'
_symmetry_Int_Tables_number 123
_symmetry_space_group_name_Hall '-P 4 2'
_cell_length_a 2.738
_cell_length_b 2.738
_cell_length_c 7.801
_cell_angle_alpha 90.00
_cell_angle_beta 90.00
_cell_angle_gamma 90.00
loop_
_atom_site_label
_atom_site_fract_x
_atom_site_fract_y
_atom_site_fract_z
Ir1 0.000 0.000 0.000
Pt1 0.000 0.000 0.500
Rh1 0.500 0.500 0.240
```

Main lines, in order of falling intensity (2θ = 10–90°):
2theta  d [Å]  I_rel  (hkl)
40.2  2.241  100  1 0 2
46.9  1.936  32  1 1 0
82.6  1.168  25  2 1 2
68.3  1.374  21  1 1 4
46.6  1.950  16  0 0 4
82.0  1.175  12  1 0 6

# 3
For UMn4HgS8, a GGA-PBE-relaxed structure gives the theoretical X-ray diffraction stick pattern in this record (a wavelength of 1.5418 Å).

Atomic structure:
```
data_UMn4HgS8
_symmetry_space_group_name_H-M 'R 3 m'
_symmetry_Int_Tables_number 160
_symmetry_space_group_name_Hall 'R 3 -2"'
_cell_length_a 7.4727
_cell_length_b 7.4727
_cell_length_c 18.6691
_cell_angle_alpha 90.00
_cell_angle_beta 90.00
_cell_angle_gamma 120.00
loop_
_atom_site_label
_atom_site_fract_x
_atom_site_fract_y
_atom_site_fract_z
U1 0.0000 0.0000 0.0000
Mn1 0.0000 0.0000 0.6311
Mn2 0.0031 0.5016 0.4986
Hg1 0.0000 0.0000 0.3610
S1 0.0000 0.0000 0.2290
S2 0.0000 0.0000 0.7617
S3 0.0216 0.5108 0.7587
S4 0.1716 0.3431 0.5791
```

Main lines, in order of falling intensity (2θ = 10–90°):
2theta  d [Å]  I_rel  (hkl)
27.9  3.203  100  1 1 3
23.8  3.736  55  1 1 0
27.6  3.234  37  0 1 5
48.7  1.868  35  2 2 0
48.1  1.893  31  2 0 8
44.4  2.038  29  0 3 3

# 4
For RbHoMn2Cl8, a GGA-PBE-relaxed structure gives the theoretical X-ray diffraction stick pattern in this record (a wavelength of 1.5418 Å).

Atomic structure:
```
data_RbHoMn2Cl8
_symmetry_space_group_name_H-M 'R 3 2'
_symmetry_Int_Tables_number 155
_symmetry_space_group_name_Hall 'R 3 2"'
_cell_length_a 6.4408
_cell_length_b 6.4408
_cell_length_c 31.3162
_cell_angle_alpha 90.00
_cell_angle_beta 90.00
_cell_angle_gamma 120.00
loop_
_atom_site_label
_atom_site_fract_x
_atom_site_fract_y
_atom_site_fract_z
Rb1 0.0000 0.0000 0.0000
Ho1 0.0000 0.0000 0.5000
Mn1 0.0000 0.0000 0.2462
Cl1 0.0000 0.0000 0.3187
Cl2 0.0108 0.3223 0.5545
```

Main lines, in order of falling intensity (2θ = 10–90°):
2theta  d [Å]  I_rel  (hkl)
19.5  4.543  100  1 0 4
27.7  3.220  51  1 1 0
49.0  1.858  41  3 0 0
44.7  2.028  39  1 1 12
32.7  2.741  32  1 1 6
27.8  3.204  27  0 1 8

# 5
For PmYHo, a GGA-PBE-relaxed structure gives the theoretical X-ray diffraction stick pattern in this record (a wavelength of 1.5418 Å).

Atomic structure:
```
data_PmYHo
_symmetry_space_group_name_H-M 'P 1 21/m 1'
_symmetry_Int_Tables_number 11
_cell_length_a 3.532
_cell_length_b 5.379
_cell_length_c 10.441
_cell_angle_alpha 90.00
_cell_angle_beta 99.68
_cell_angle_gamma 90.00
loop_
_symmetry_equiv_pos_as_xyz
'x,y,z'
'-x,-y,-z'
'-x,y+1/2,-z'
'x,-y+1/2,z'
loop_
_atom_site_label
_atom_site_fract_x
_atom_site_fract_y
_atom_site_fract_z
Pm1 0.043 0.250 0.087
Y1 0.379 0.250 0.757
Ho1 0.208 0.250 0.416
```

Main lines, in order of falling intensity (2θ = 10–90°):
2theta  d [Å]  I_rel  (hkl)
30.9  2.893  100  0 1 3
30.6  2.922  87  1 1 -1
33.3  2.687  58  0 2 0
61.5  1.507  28  2 1 2
47.9  1.899  25  1 2 2
39.9  2.260  21  1 0 -4

# 6
For PdCl5, a GGA-PBE-relaxed structure gives the theoretical X-ray diffraction stick pattern in this record (a wavelength of 1.5418 Å).

Atomic structure:
```
data_PdCl5
_symmetry_space_group_name_H-M 'P -1'
_symmetry_Int_Tables_number 2
_cell_length_a 3.748
_cell_length_b 6.624
_cell_length_c 7.666
_cell_angle_alpha 112.10
_cell_angle_beta 93.14
_cell_angle_gamma 100.87
loop_
_symmetry_equiv_pos_as_xyz
'x,y,z'
'-x,-y,-z'
loop_
_atom_site_label
_atom_site_fract_x
_atom_site_fract_y
_atom_site_fract_z
Pd1 0.000 0.000 0.000
Cl1 0.000 0.000 0.500
Cl2 0.119 0.218 0.330
Cl3 0.374 0.764 0.032
```

Main lines, in order of falling intensity (2θ = 10–90°):
2theta  d [Å]  I_rel  (hkl)
14.8  5.978  100  0 1 0
12.6  7.035  58  0 0 1
15.2  5.828  47  0 1 -1
34.3  2.617  47  0 1 2
25.3  3.518  30  0 0 2
30.3  2.953  25  1 1 -1

# 7
For Sr5Tl2N, a GGA-PBE-relaxed structure gives the theoretical X-ray diffraction stick pattern in this record (a wavelength of 1.5418 Å).

Atomic structure:
```
data_Sr5Tl2N
_symmetry_space_group_name_H-M 'P n m a'
_symmetry_Int_Tables_number 62
_cell_length_a 9.639
_cell_length_b 7.519
_cell_length_c 15.242
_cell_angle_alpha 90.00
_cell_angle_beta 90.00
_cell_angle_gamma 90.00
loop_
_symmetry_equiv_pos_as_xyz
'x,y,z'
'-x,-y,-z'
'-x+1/2,-y,z+1/2'
'x+1/2,y,-z+1/2'
'x+1/2,-y+1/2,-z+1/2'
'-x+1/2,y+1/2,z+1/2'
'-x,y+1/2,-z'
'x,-y+1/2,z'
loop_
_atom_site_label
_atom_site_fract_x
_atom_site_fract_y
_atom_site_fract_z
Sr1 0.000 0.000 0.000
Sr2 0.038 0.250 0.201
Sr3 0.159 0.503 0.609
Sr4 0.219 0.750 0.396
Tl1 0.028 0.750 0.209
Tl2 0.189 0.250 0.409
N1 0.179 0.250 0.060
```

Main lines, in order of falling intensity (2θ = 10–90°):
2theta  d [Å]  I_rel  (hkl)
30.7  2.908  100  1 0 5
28.0  3.183  68  1 2 2
32.4  2.762  56  2 2 2
28.4  3.144  56  3 0 1
29.9  2.989  44  2 0 4
31.0  2.884  41  1 2 3

# 8
For LaSm2Ga2Hg2, a GGA-PBE-relaxed structure gives the theoretical X-ray diffraction stick pattern in this record (a wavelength of 1.5418 Å).

Atomic structure:
```
data_LaSm2Ga2Hg2
_symmetry_space_group_name_H-M 'R -3 m'
_symmetry_Int_Tables_number 166
_symmetry_space_group_name_Hall '-R 3 2"'
_cell_length_a 4.6962
_cell_length_b 4.6962
_cell_length_c 29.2004
_cell_angle_alpha 90.00
_cell_angle_beta 90.00
_cell_angle_gamma 120.00
loop_
_atom_site_label
_atom_site_fract_x
_atom_site_fract_y
_atom_site_fract_z
La1 0.0000 0.0000 0.0000
Sm1 0.0000 0.0000 0.1297
Ga1 0.0000 0.0000 0.2499
Hg1 0.0000 0.0000 0.3995
```

Main lines, in order of falling intensity (2θ = 10–90°):
2theta  d [Å]  I_rel  (hkl)
38.3  2.348  100  1 1 0
33.0  2.716  78  0 1 8
30.7  2.912  47  1 0 7
25.1  3.553  36  1 0 4
61.9  1.499  34  1 1 15
26.7  3.337  34  0 1 5

# 9
For Li2La3Cd5, a GGA-PBE-relaxed structure gives the theoretical X-ray diffraction stick pattern in this record (a wavelength of 1.5418 Å).

Atomic structure:
```
data_Li2La3Cd5
_symmetry_space_group_name_H-M 'P 4/m b m'
_symmetry_Int_Tables_number 127
_symmetry_space_group_name_Hall '-P 4 2ab'
_cell_length_a 10.993
_cell_length_b 10.993
_cell_length_c 4.254
_cell_angle_alpha 90.00
_cell_angle_beta 90.00
_cell_angle_gamma 90.00
loop_
_atom_site_label
_atom_site_fract_x
_atom_site_fract_y
_atom_site_fract_z
Li1 0.112 0.388 0.000
La1 0.000 0.000 0.000
La2 0.180 0.680 0.000
Cd1 0.000 0.500 0.500
Cd2 0.061 0.223 0.500
```

Main lines, in order of falling intensity (2θ = 10–90°):
2theta  d [Å]  I_rel  (hkl)
33.3  2.692  100  3 1 1
27.7  3.217  76  2 1 1
33.6  2.666  65  4 1 0
31.2  2.869  58  2 2 1
55.2  1.663  36  4 1 2
42.5  2.127  31  0 0 2

# 10
For ScInF2, a GGA-PBE-relaxed structure gives the theoretical X-ray diffraction stick pattern in this record (a wavelength of 1.5418 Å).

Atomic structure:
```
data_ScInF2
_symmetry_space_group_name_H-M 'I 41/a m d'
_symmetry_Int_Tables_number 141
_cell_length_a 5.523
_cell_length_b 5.523
_cell_length_c 11.624
_cell_angle_alpha 90.00
_cell_angle_beta 90.00
_cell_angle_gamma 90.00
loop_
_symmetry_equiv_pos_as_xyz
'x,y,z'
'-x,-y,-z'
'-y+1/4,x+3/4,z+1/4'
'y+1/4,-x+3/4,-z+1/4'
'-x+1/2,-y,z+1/2'
'x+1/2,y,-z+1/2'
'y+1/4,-x+1/4,z+3/4'
'-y+1/4,x+1/4,-z+3/4'
'x,-y,-z'
'-x,y,z'
'-y+1/4,-x+1/4,-z+3/4'
'y+1/4,x+1/4,z+3/4'
'-x+1/2,y,-z+1/2'
'x+1/2,-y,z+1/2'
'y+1/4,x+3/4,-z+1/4'
'-y+1/4,-x+3/4,z+1/4'
'x+1/2,y+1/2,z+1/2'
'-x+1/2,-y+1/2,-z+1/2'
'-y+3/4,x+1/4,z+3/4'
'y+3/4,-x+1/4,-z+3/4'
'-x,-y+1/2,z'
'x,y+1/2,-z'
'y+3/4,-x+3/4,z+1/4'
'-y+3/4,x+3/4,-z+1/4'
'x+1/2,-y+1/2,-z+1/2'
'-x+1/2,y+1/2,z+1/2'
'-y+3/4,-x+3/4,-z+1/4'
'y+3/4,x+3/4,z+1/4'
'-x,y+1/2,-z'
'x,-y+1/2,z'
'y+3/4,x+1/4,-z+3/4'
'-y+3/4,-x+1/4,z+3/4'
loop_
_atom_site_label
_atom_site_fract_x
_atom_site_fract_y
_atom_site_fract_z
Sc1 0.000 0.250 0.375
In1 0.000 0.250 0.875
F1 0.000 0.000 0.500
```

Main lines, in order of falling intensity (2θ = 10–90°):
2theta  d [Å]  I_rel  (hkl)
27.5  3.242  100  1 1 2
32.4  2.761  32  2 0 0
54.9  1.673  27  3 1 2
45.3  2.002  25  2 0 4
28.1  3.172  18  1 0 3
56.8  1.621  18  2 2 4

# 11
For Ce3SnB2Rh9, a GGA-PBE-relaxed structure gives the theoretical X-ray diffraction stick pattern in this record (a wavelength of 1.5418 Å).

Atomic structure:
```
data_Ce3SnB2Rh9
_symmetry_space_group_name_H-M 'P -3 m 1'
_symmetry_Int_Tables_number 164
_symmetry_space_group_name_Hall '-P 3 2"'
_cell_length_a 5.8099
_cell_length_b 5.8099
_cell_length_c 9.0331
_cell_angle_alpha 90.00
_cell_angle_beta 90.00
_cell_angle_gamma 120.00
loop_
_atom_site_label
_atom_site_fract_x
_atom_site_fract_y
_atom_site_fract_z
Ce1 0.0000 0.0000 0.0000
Ce2 0.3333 0.6667 0.6865
Sn1 0.0000 0.0000 0.5000
B1 0.3333 0.6667 0.1426
Rh1 0.0000 0.5000 0.0000
Rh2 0.1629 0.3259 0.2680
```

Main lines, in order of falling intensity (2θ = 10–90°):
2theta  d [Å]  I_rel  (hkl)
41.1  2.198  100  2 0 2
37.1  2.424  93  0 2 1
64.1  1.452  28  2 2 0
47.1  1.931  24  2 0 3
29.7  3.011  24  0 0 3
39.9  2.258  22  0 0 4

# 12
For NaThTc2O8, a GGA-PBE-relaxed structure gives the theoretical X-ray diffraction stick pattern in this record (a wavelength of 1.5418 Å).

Atomic structure:
```
data_NaThTc2O8
_symmetry_space_group_name_H-M 'P -3 m 1'
_symmetry_Int_Tables_number 164
_symmetry_space_group_name_Hall '-P 3 2"'
_cell_length_a 6.0208
_cell_length_b 6.0208
_cell_length_c 7.0330
_cell_angle_alpha 90.00
_cell_angle_beta 90.00
_cell_angle_gamma 120.00
loop_
_atom_site_label
_atom_site_fract_x
_atom_site_fract_y
_atom_site_fract_z
Na1 0.0000 0.0000 0.0000
Th1 0.0000 0.0000 0.5000
Tc1 0.3333 0.6667 0.8046
O1 0.1685 0.3370 0.7109
O2 0.3333 0.6667 0.0517
```

Main lines, in order of falling intensity (2θ = 10–90°):
2theta  d [Å]  I_rel  (hkl)
21.2  4.189  100  0 1 1
29.7  3.010  45  1 1 0
30.7  2.915  38  1 0 2
43.2  2.094  23  0 2 2
47.9  1.898  23  1 2 1
53.3  1.719  17  2 1 2

# 13
For NpP2PbO8, a GGA-PBE-relaxed structure gives the theoretical X-ray diffraction stick pattern in this record (a wavelength of 1.5418 Å).

Atomic structure:
```
data_NpP2PbO8
_symmetry_space_group_name_H-M 'R -3'
_symmetry_Int_Tables_number 148
_symmetry_space_group_name_Hall '-R 3'
_cell_length_a 5.0161
_cell_length_b 5.0161
_cell_length_c 22.8959
_cell_angle_alpha 90.00
_cell_angle_beta 90.00
_cell_angle_gamma 120.00
loop_
_atom_site_label
_atom_site_fract_x
_atom_site_fract_y
_atom_site_fract_z
Np1 0.0000 0.0000 0.0000
P1 0.0000 0.0000 0.2489
Pb1 0.0000 0.0000 0.5000
O1 0.0000 0.0000 0.1823
O2 0.0012 0.2927 0.7271
```

Main lines, in order of falling intensity (2θ = 10–90°):
2theta  d [Å]  I_rel  (hkl)
25.7  3.460  100  1 0 4
21.9  4.061  60  0 1 2
35.8  2.508  39  1 1 0
43.2  2.096  38  2 -1 6
37.6  2.390  32  0 1 8
44.6  2.031  20  0 2 4